No. 1
Diffraction record for GdSi2Ag2. The XRD peak list is calculated, not measured: it uses a cell relaxed with GGA-PBE and Cu Kα (weighted mean of Kα1 and Kα2).
Kinematic intensities with the Lorentz-polarization factor, no thermal factor.

Main lines, low angle first (5° ≤ 2θ ≤ 70°):
d = 3.910 Å, 2θ 22.75, rel. 21.6
d = 2.726 Å, 2θ 32.85, rel. 23.9
d = 2.690 Å, 2θ 33.31, rel. 19.2
d = 2.598 Å, 2θ 34.52, rel. 100.0
d = 2.098 Å, 2θ 43.11, rel. 32.9
d = 1.915 Å, 2θ 47.48, rel. 11.6
d = 1.663 Å, 2θ 55.24, rel. 10.8
d = 1.654 Å, 2θ 55.55, rel. 17.3
d = 1.535 Å, 2θ 60.31, rel. 14.7
d = 1.484 Å, 2θ 62.61, rel. 10.5

Cell and atoms:
Cell: 4.1964 4.1964 10.7596 Å, 90.00 90.00 90.00°
Positions (direct):
Gd (0.0000, 0.0000, 0.0000)
Gd (0.5000, 0.5000, 0.5000)
Si (0.0000, 0.0000, 0.3928)
Si (0.0000, 0.0000, 0.6072)
Si (0.5000, 0.5000, 0.1072)
Si (0.5000, 0.5000, 0.8928)
Ag (0.0000, 0.5000, 0.2500)
Ag (0.0000, 0.5000, 0.7500)
Ag (0.5000, 0.0000, 0.2500)
Ag (0.5000, 0.0000, 0.7500)


No. 2
Diffraction record for ThZr2F12. The XRD peak list is calculated, not measured: it uses a cell relaxed with GGA-PBE and Cu Kα (weighted mean of Kα1 and Kα2).
Kinematic intensities with the Lorentz-polarization factor, no thermal factor.

Main lines, low angle first (5° ≤ 2θ ≤ 70°):
d = 6.288 Å, 2θ 14.09, rel. 37.6
d = 6.209 Å, 2θ 14.27, rel. 44.6
d = 4.060 Å, 2θ 21.89, rel. 100.0
d = 4.039 Å, 2θ 22.01, rel. 95.9
d = 3.928 Å, 2θ 22.64, rel. 42.7
d = 3.652 Å, 2θ 24.37, rel. 85.9
d = 3.514 Å, 2θ 25.34, rel. 35.6
d = 3.103 Å, 2θ 28.77, rel. 45.2
d = 2.019 Å, 2θ 44.89, rel. 43.6
d = 1.846 Å, 2θ 49.37, rel. 43.5

Cell and atoms:
Cell: 8.3016 8.3016 7.9775 Å, 118.21 118.21 79.66°
Positions (direct):
Th (0.2213, 0.7787, 0.0000)
Th (0.7787, 0.2213, 0.0000)
Zr (0.1891, 0.1891, 0.5698)
Zr (0.3510, 0.3510, 0.2257)
Zr (0.6490, 0.6490, 0.7743)
Zr (0.8109, 0.8109, 0.4302)
F (0.0000, 0.0000, 0.0000)
F (0.0000, 0.0000, 0.5000)
F (0.0595, 0.7801, 0.6651)
F (0.0662, 0.3538, 0.1106)
F (0.1697, 0.4664, 0.7211)
F (0.2199, 0.9405, 0.3349)
F (0.2222, 0.2222, 0.8592)
F (0.2883, 0.2883, 0.4281)
F (0.3041, 0.5607, 0.1333)
F (0.3538, 0.0662, 0.1106)
F (0.3881, 0.6119, 0.5000)
F (0.4393, 0.6959, 0.8667)
F (0.4664, 0.1697, 0.7211)
F (0.5336, 0.8303, 0.2789)
F (0.5607, 0.3041, 0.1333)
F (0.6119, 0.3881, 0.5000)
F (0.6462, 0.9338, 0.8894)
F (0.6959, 0.4393, 0.8667)
F (0.7117, 0.7117, 0.5719)
F (0.7778, 0.7778, 0.1408)
F (0.7801, 0.0595, 0.6651)
F (0.8303, 0.5336, 0.2789)
F (0.9338, 0.6462, 0.8894)
F (0.9405, 0.2199, 0.3349)